# 1
RbRe2P: simulated powder diffraction line list (Cu Kα, 1.54184 Å), based on a crystal structure in Alexandria, relaxed with PBE.

```
RbRe2P
1.0
4.948 0.000 0.000
0.000 4.948 0.000
0.000 0.000 16.626
Rb Re P
4 8 4
Cartesian
0.000 0.000 0.000
0.000 2.474 4.156
2.474 0.000 12.469
2.474 2.474 8.313
0.055 3.711 10.391
1.237 0.055 6.235
1.237 2.419 14.548
2.419 3.711 2.078
2.529 1.237 2.078
3.711 2.529 14.548
3.711 4.893 6.235
4.893 1.237 10.391
0.000 0.000 8.313
0.000 2.474 12.469
2.474 0.000 4.156
2.474 2.474 0.000
```

Peak list (12 most intense, 10 to 90 degrees two-theta, low angle first)
d 4.742, 18.7°, I = 77; d 4.156, 21.4°, I = 41; d 3.691, 24.1°, I = 100; d 3.225, 27.7°, I = 22; d 2.760, 32.4°, I = 48; d 2.371, 37.9°, I = 84; d 2.193, 41.2°, I = 51; d 2.078, 43.5°, I = 25; d 2.055, 44.1°, I = 18; d 1.845, 49.4°, I = 53; d 1.619, 56.9°, I = 20; d 1.612, 57.1°, I = 44

---

# 2
RbTe2PRh: simulated powder diffraction line list (Cu Kα, 1.54184 Å), based on a crystal structure in Alexandria, relaxed with PBE.

```
RbTe2PRh
1.0
6.217 0.000 0.000
0.000 6.217 0.000
0.000 0.000 4.942
Rb Te P Rh
1 2 1 1
Cartesian
0.000 0.000 0.000
0.000 3.108 0.000
3.108 0.000 0.000
3.108 3.108 2.471
0.000 0.000 2.471
```

Peak list (12 most intense, 10 to 90 degrees two-theta, low angle first)
d 6.217, 14.2°, I = 61; d 4.942, 18.0°, I = 27; d 3.284, 27.2°, I = 92; d 3.108, 28.7°, I = 100; d 2.780, 32.2°, I = 17; d 2.631, 34.1°, I = 22; d 2.471, 36.4°, I = 26; d 2.198, 41.1°, I = 37; d 1.934, 47.0°, I = 50; d 1.827, 49.9°, I = 34; d 1.642, 56.0°, I = 30; d 1.212, 79.0°, I = 23

---

# 3
Rb2PS4: simulated powder diffraction line list (Cu Kα, 1.54184 Å), based on a crystal structure in Alexandria, relaxed with PBE.

```
Rb2PS4
1.0
0.000 7.348 7.448
5.787 0.000 7.448
5.787 7.348 0.000
Rb P S
4 2 8
Cartesian
5.787 7.348 3.547
5.787 3.603 7.448
5.787 11.093 7.448
5.787 7.348 11.349
2.894 3.674 3.724
8.681 11.022 11.172
7.532 4.866 4.915
4.043 4.866 4.915
7.532 9.830 4.915
7.532 4.866 9.981
4.043 9.830 4.915
4.043 4.866 9.981
7.532 9.830 9.981
4.043 9.830 9.981
```

Peak list (12 most intense, 10 to 90 degrees two-theta, low angle first)
d 7.448, 11.9°, I = 30; d 7.348, 12.0°, I = 29; d 5.231, 17.0°, I = 20; d 3.881, 22.9°, I = 100; d 3.339, 26.7°, I = 17; d 3.132, 28.5°, I = 15; d 3.102, 28.8°, I = 15; d 2.615, 34.3°, I = 19; d 2.532, 35.5°, I = 20; d 2.285, 39.4°, I = 15; d 2.273, 39.6°, I = 15; d 1.492, 62.2°, I = 15